Theoretical X-ray powder pattern of K2BaTc2N4 for copper Kα, from a DFT-relaxed cell (PBE, Alexandria).
Neutral-atom scattering factors, no anomalous dispersion.

Main lines, by intensity (10° ≤ 2θ ≤ 90°):
- 2θ = 13.53°, I = 100
- 2θ = 30.68°, I = 46
- 2θ = 33.15°, I = 31
- 2θ = 27.26°, I = 28
- 2θ = 31.54°, I = 25
- 2θ = 44.84°, I = 21
- 2θ = 28.26°, I = 16
- 2θ = 35.68°, I = 13
- 2θ = 35.15°, I = 12
- 2θ = 37.91°, I = 11

```
data_K2BaTc2N4
_chemical_formula_sum 'K4 Ba2 Tc4 N8'
_space_group_name_H-M_alt 'C 1 2/m 1'
_space_group_IT_number 12
_space_group_name_Hall '-C 2y'
_cell_length_a 13.165
_cell_length_b 3.608
_cell_length_c 9.570
_cell_angle_alpha 90.00
_cell_angle_beta 126.85
_cell_angle_gamma 90.00
loop_
_atom_site_label
_atom_site_type_symbol
_atom_site_fract_x
_atom_site_fract_y
_atom_site_fract_z
K1 K 0.136 0.000 0.218
Ba1 Ba 0.000 0.000 0.500
Tc1 Tc 0.162 0.500 0.885
N1 N 0.006 0.500 0.279
N2 N 0.222 0.000 0.847
```